Calculated PXRD pattern of Li2Co3SbO8 for λ = 1.5418 Å (Cu Kα), from a GGA+U-relaxed structure.
No peak broadening, texture or thermal motion is included.

Peak list (6 most intense, 15° ≤ 2θ ≤ 90°, sorted by position)
hkl	Position (°2θ)	Rel. int.
1 0 1	20.15	100
1 0 2	26.06	30
1 0 3	33.81	40
1 1 2	36.59	53
2 0 1	37.28	35
2 0 3	46.54	30

Cell and atoms:
```
data_Li2Co3SbO8
_symmetry_space_group_name_H-M 'P 63 m c'
_symmetry_Int_Tables_number 186
_symmetry_space_group_name_Hall 'P 6c -2c'
_cell_length_a 5.7643
_cell_length_b 5.7643
_cell_length_c 9.3881
_cell_angle_alpha 90.00
_cell_angle_beta 90.00
_cell_angle_gamma 120.00
loop_
_atom_site_label
_atom_site_type_symbol
_atom_site_fract_x
_atom_site_fract_y
_atom_site_fract_z
Li1 Li 0.0000 0.0000 0.0000
Li2 Li 0.3333 0.6667 0.4024
Co1 Co 0.1702 0.3405 0.7203
Sb1 Sb 0.3333 0.6667 0.9957
O1 O 0.0000 0.0000 0.3122
O2 O 0.0345 0.5172 0.8414
O3 O 0.1612 0.3225 0.1044
O4 O 0.3333 0.6667 0.6177
```

---

Calculated PXRD pattern of FeOF for λ = 1.5418 Å (Cu Kα), from a GGA+U-relaxed structure.
No peak broadening, texture or thermal motion is included.

Peak list (6 most intense, 15° ≤ 2θ ≤ 90°, sorted by position)
hkl	Position (°2θ)	Rel. int.
3 0 -3	26.46	91
3 0 3	26.58	90
0 1 3	34.52	100
3 1 -3	39.52	36
3 1 6	52.15	52
9 1 0	66.36	37

Cell and atoms:
```
data_FeOF
_symmetry_space_group_name_H-M 'P 1 m 1'
_symmetry_Int_Tables_number 6
_cell_length_a 14.229
_cell_length_b 3.103
_cell_length_c 14.295
_cell_angle_alpha 90.00
_cell_angle_beta 90.26
_cell_angle_gamma 90.00
loop_
_symmetry_equiv_pos_as_xyz
'x,y,z'
'x,-y,z'
loop_
_atom_site_label
_atom_site_type_symbol
_atom_site_fract_x
_atom_site_fract_y
_atom_site_fract_z
Fe1 Fe 0.000 0.000 0.000
Fe2 Fe 0.000 0.000 0.335
Fe3 Fe 0.007 0.000 0.662
Fe4 Fe 0.174 0.500 0.518
Fe5 Fe 0.192 0.500 0.833
Fe6 Fe 0.194 0.500 0.169
Fe7 Fe 0.331 0.000 0.665
Fe8 Fe 0.332 0.000 0.001
Fe9 Fe 0.343 0.000 0.332
Fe10 Fe 0.506 0.500 0.481
Fe11 Fe 0.524 0.500 0.834
Fe12 Fe 0.530 0.500 0.164
Fe13 Fe 0.668 0.000 0.335
Fe14 Fe 0.670 0.000 0.998
Fe15 Fe 0.671 0.000 0.671
Fe16 Fe 0.860 0.500 0.167
Fe17 Fe 0.861 0.500 0.501
Fe18 Fe 0.866 0.500 0.830
O1 O 0.074 0.500 0.602
O2 O 0.245 0.000 0.897
O3 O 0.246 0.000 0.560
O4 O 0.248 0.000 0.235
O5 O 0.281 0.500 0.729
O6 O 0.282 0.500 0.065
O7 O 0.441 0.000 0.428
O8 O 0.578 0.000 0.230
O9 O 0.579 0.000 0.895
O10 O 0.613 0.500 0.726
O11 O 0.615 0.500 0.399
O12 O 0.617 0.500 0.061
O13 O 0.906 0.000 0.564
O14 O 0.911 0.000 0.230
O15 O 0.914 0.000 0.896
O16 O 0.948 0.500 0.728
O17 O 0.949 0.500 0.064
O18 O 0.949 0.500 0.396
F1 F 0.080 0.500 0.265
F2 F 0.080 0.500 0.934
F3 F 0.115 0.000 0.771
F4 F 0.116 0.000 0.430
F5 F 0.117 0.000 0.102
F6 F 0.278 0.500 0.396
F7 F 0.411 0.500 0.263
F8 F 0.412 0.500 0.933
F9 F 0.416 0.500 0.600
F10 F 0.447 0.000 0.766
F11 F 0.448 0.000 0.099
F12 F 0.575 0.000 0.560
F13 F 0.739 0.500 0.598
F14 F 0.744 0.500 0.266
F15 F 0.746 0.500 0.932
F16 F 0.780 0.000 0.431
F17 F 0.780 0.000 0.764
F18 F 0.781 0.000 0.099
```

---

Calculated PXRD pattern of LiCr2O3 for λ = 1.5418 Å (Cu Kα), from a GGA+U-relaxed structure.
No peak broadening, texture or thermal motion is included.

Peak list (6 most intense, 15° ≤ 2θ ≤ 90°, sorted by position)
hkl	Position (°2θ)	Rel. int.
1 1 0	20.52	56
0 2 1	26.85	34
2 0 0	36.42	51
2 0 -2	41.53	54
1 3 1	42.68	100
1 3 -3	61.07	56

Cell and atoms:
```
data_LiCr2O3
_symmetry_space_group_name_H-M 'C 1 2/c 1'
_symmetry_Int_Tables_number 15
_cell_length_a 5.286
_cell_length_b 8.986
_cell_length_c 5.277
_cell_angle_alpha 90.00
_cell_angle_beta 110.87
_cell_angle_gamma 90.00
loop_
_symmetry_equiv_pos_as_xyz
'x,y,z'
'-x,-y,-z'
'-x,y,-z+1/2'
'x,-y,z+1/2'
'x+1/2,y+1/2,z'
'-x+1/2,-y+1/2,-z'
'-x+1/2,y+1/2,-z+1/2'
'x+1/2,-y+1/2,z+1/2'
loop_
_atom_site_label
_atom_site_type_symbol
_atom_site_fract_x
_atom_site_fract_y
_atom_site_fract_z
Li1 Li 0.000 0.085 0.250
Cr1 Cr 0.000 0.246 0.750
Cr2 Cr 0.000 0.414 0.250
O1 O 0.232 0.410 0.009
O2 O 0.250 0.250 0.500
```